Tl7In2Hg: calculated X-ray diffraction stick pattern (CuKα), based on a cell relaxed with GGA-PBE.
Kinematic intensities with the Lorentz-polarization factor, no thermal factor.

Structure:
```
data_Tl7In2Hg
_chemical_formula_sum 'Tl7 In2 Hg1'
_space_group_name_H-M_alt 'P 1'
_space_group_IT_number 1
_cell_length_a 14.800
_cell_length_b 14.800
_cell_length_c 3.320
_cell_angle_alpha 90.00
_cell_angle_beta 90.00
_cell_angle_gamma 155.14
loop_
_space_group_symop_operation_xyz
'x,y,z'
loop_
_atom_site_label
_atom_site_type_symbol
_atom_site_fract_x
_atom_site_fract_y
_atom_site_fract_z
Tl1 Tl 0.000 0.000 0.000
Tl2 Tl 0.153 0.356 0.000
Tl3 Tl 0.301 0.699 0.500
Tl4 Tl 0.356 0.153 0.000
Tl5 Tl 0.644 0.847 0.000
Tl6 Tl 0.699 0.301 0.500
Tl7 Tl 0.847 0.644 0.000
In1 In 0.201 0.799 0.000
In2 In 0.799 0.201 0.000
Hg1 Hg 0.500 0.500 0.500
```

Top 8 peaks for 2θ from 5° to 70°, low angle first:
2theta	intensity
29.61	31.7
30.52	40.1
30.67	93.5
30.94	96.9
33.73	68.5
34.18	100.0
39.19	28.8
50.74	27.8